(1)
ErZnNi: simulated X-ray powder pattern (Cu Ka), based on a PBE-relaxed structure.
No peak broadening, texture or thermal motion is included.

Cell and atoms:
```
ErZnNi
1.0
6.989 0.000 0.000
-3.495 6.053 0.000
0.000 0.000 3.722
Er Zn Ni
3 3 3
Direct
0.000 0.413 0.000
0.413 0.000 0.000
0.587 0.587 0.000
0.000 0.758 0.500
0.242 0.242 0.500
0.758 0.000 0.500
0.000 0.000 0.000
0.333 0.667 0.500
0.667 0.333 0.500
```

Largest 10 diffraction maxima, low angle first, 2θ = 15–90°:
- d 3.027, 29.5°, intensity 20
- d 2.548, 35.2°, intensity 100
- d 2.348, 38.3°, intensity 86
- d 2.288, 39.4°, intensity 47
- d 2.018, 44.9°, intensity 19
- d 1.861, 48.9°, intensity 21
- d 1.679, 54.7°, intensity 19
- d 1.530, 60.5°, intensity 32
- d 1.444, 64.6°, intensity 21
- d 1.301, 72.7°, intensity 20

(2)
Li4TiCu3P4O16: simulated X-ray powder pattern (Cu Ka), based on a PBE-relaxed structure.
No peak broadening, texture or thermal motion is included.

Cell and atoms:
```
Li4TiCu3P4O16
1.0
4.816 0.000 0.000
0.000 6.059 0.000
-0.112 0.000 10.363
Li Ti Cu P O
4 1 3 4 16
Direct
0.000 0.236 0.000
0.000 0.764 0.000
0.492 0.239 0.475
0.492 0.761 0.475
0.980 0.500 0.705
0.450 0.000 0.776
0.526 0.500 0.203
0.997 0.000 0.267
0.066 0.500 0.395
0.397 0.500 0.885
0.576 0.000 0.079
0.922 0.000 0.586
0.181 0.500 0.544
0.200 0.292 0.334
0.200 0.708 0.334
0.240 0.000 0.586
0.247 0.304 0.810
0.247 0.696 0.810
0.257 0.000 0.075
0.293 0.500 0.024
0.699 0.000 0.939
0.711 0.204 0.151
0.711 0.796 0.151
0.714 0.500 0.868
0.747 0.500 0.398
0.773 0.000 0.454
0.807 0.213 0.659
0.807 0.787 0.659
```

Largest 10 diffraction maxima, low angle first, 2θ = 15–90°:
- d 5.181, 17.1°, intensity 55
- d 4.385, 20.3°, intensity 66
- d 3.552, 25.1°, intensity 71
- d 3.533, 25.2°, intensity 60
- d 3.030, 29.5°, intensity 100
- d 2.821, 31.7°, intensity 30
- d 2.558, 35.1°, intensity 65
- d 2.536, 35.4°, intensity 77
- d 2.382, 37.8°, intensity 33
- d 1.767, 51.7°, intensity 33

(3)
KIn4: simulated X-ray powder pattern (Cu Ka), based on a PBE-relaxed structure.
No peak broadening, texture or thermal motion is included.

Cell and atoms:
```
KIn4
1.0
-2.481 2.481 6.438
2.481 -2.481 6.438
2.481 2.481 -6.438
K In
1 4
Direct
0.000 0.000 0.000
0.250 0.750 0.500
0.387 0.387 0.000
0.613 0.613 0.000
0.750 0.250 0.500
```

Largest 10 diffraction maxima, low angle first, 2θ = 15–90°:
- d 4.630, 19.2°, intensity 52
- d 3.246, 27.5°, intensity 33
- d 3.081, 29.0°, intensity 100
- d 2.481, 36.2°, intensity 74
- d 2.372, 37.9°, intensity 87
- d 2.286, 39.4°, intensity 29
- d 1.754, 52.1°, intensity 25
- d 1.681, 54.6°, intensity 22
- d 1.525, 60.8°, intensity 23
- d 1.410, 66.3°, intensity 33

(4)
NdInAu2: simulated X-ray powder pattern (Cu Ka), based on a PBE-relaxed structure.
No peak broadening, texture or thermal motion is included.

Cell and atoms:
```
NdInAu2
1.0
0.000 3.577 3.577
3.577 0.000 3.577
3.577 3.577 0.000
Nd In Au
1 1 2
Direct
0.000 0.000 0.000
0.500 0.500 0.500
0.250 0.250 0.250
0.750 0.750 0.750
```

Largest 9 diffraction maxima, low angle first, 2θ = 15–90°:
- d 3.577, 24.9°, intensity 5
- d 2.529, 35.5°, intensity 100
- d 2.065, 43.8°, intensity 2
- d 1.788, 51.1°, intensity 18
- d 1.600, 57.6°, intensity 2
- d 1.460, 63.7°, intensity 37
- d 1.265, 75.1°, intensity 11
- d 1.192, 80.6°, intensity 1
- d 1.131, 85.9°, intensity 17

(5)
CaTiO3: simulated X-ray powder pattern (Cu Ka), based on a PBE-relaxed structure.
No peak broadening, texture or thermal motion is included.

Cell and atoms:
```
CaTiO3
1.0
-2.738 3.836 2.738
2.738 -3.836 2.738
2.738 3.836 -2.738
Ca Ti O
2 2 6
Direct
0.263 0.013 0.250
0.737 0.987 0.750
0.000 0.500 0.500
0.500 0.500 0.000
0.164 0.414 0.750
0.297 0.000 0.797
0.297 0.500 0.297
0.703 0.000 0.203
0.703 0.500 0.703
0.836 0.586 0.250
```

Largest 10 diffraction maxima, low angle first, 2θ = 15–90°:
- d 2.738, 32.7°, intensity 42
- d 2.725, 32.9°, intensity 100
- d 2.229, 40.5°, intensity 11
- d 1.936, 46.9°, intensity 49
- d 1.918, 47.4°, intensity 20
- d 1.578, 58.5°, intensity 40
- d 1.571, 58.8°, intensity 23
- d 1.369, 68.5°, intensity 12
- d 1.363, 68.9°, intensity 19
- d 1.224, 78.1°, intensity 14

(6)
Na2IrN2: simulated X-ray powder pattern (Cu Ka), based on a PBE-relaxed structure.
No peak broadening, texture or thermal motion is included.

Cell and atoms:
```
Na2IrN2
1.0
-1.578 2.014 6.256
1.578 -2.014 6.256
1.578 2.014 -6.256
Na Ir N
2 1 2
Direct
0.158 0.158 0.000
0.842 0.842 0.000
0.500 0.500 0.000
0.357 0.357 0.000
0.643 0.643 0.000
```

Largest 10 diffraction maxima, low angle first, 2θ = 15–90°:
- d 3.835, 23.2°, intensity 100
- d 3.059, 29.2°, intensity 56
- d 2.898, 30.9°, intensity 68
- d 2.516, 35.7°, intensity 47
- d 2.484, 36.2°, intensity 70
- d 2.309, 39.0°, intensity 43
- d 2.085, 43.4°, intensity 19
- d 1.682, 54.5°, intensity 19
- d 1.597, 57.7°, intensity 32
- d 1.573, 58.7°, intensity 23

(7)
HfSiPd: simulated X-ray powder pattern (Cu Ka), based on a PBE-relaxed structure.
No peak broadening, texture or thermal motion is included.

Cell and atoms:
```
HfSiPd
1.0
6.606 0.000 0.000
0.000 3.891 0.000
0.000 0.000 7.616
Hf Si Pd
4 4 4
Direct
0.028 0.250 0.179
0.472 0.750 0.679
0.528 0.250 0.321
0.972 0.750 0.821
0.242 0.750 0.376
0.258 0.250 0.876
0.742 0.750 0.124
0.758 0.250 0.624
0.143 0.250 0.562
0.357 0.750 0.062
0.643 0.250 0.938
0.857 0.750 0.438
```

Largest 10 diffraction maxima, low angle first, 2θ = 15–90°:
- d 3.465, 25.7°, intensity 23
- d 3.302, 27.0°, intensity 20
- d 2.517, 35.7°, intensity 100
- d 2.391, 37.6°, intensity 58
- d 2.370, 38.0°, intensity 34
- d 2.126, 42.5°, intensity 17
- d 2.115, 42.7°, intensity 16
- d 1.946, 46.7°, intensity 24
- d 1.504, 61.7°, intensity 16
- d 1.351, 69.6°, intensity 18

(8)
Zr4CoP: simulated X-ray powder pattern (Cu Ka), based on a PBE-relaxed structure.
No peak broadening, texture or thermal motion is included.

Cell and atoms:
```
Zr4CoP
1.0
6.418 0.000 0.000
0.000 6.418 0.000
0.000 0.000 5.463
Zr Co P
8 2 2
Direct
0.161 0.333 0.000
0.161 0.667 0.500
0.333 0.161 0.500
0.333 0.839 0.000
0.667 0.161 0.000
0.667 0.839 0.500
0.839 0.333 0.500
0.839 0.667 0.000
0.000 0.000 0.250
0.000 0.000 0.750
0.500 0.500 0.250
0.500 0.500 0.750
```

Largest 10 diffraction maxima, low angle first, 2θ = 15–90°:
- d 2.731, 32.8°, intensity 15
- d 2.541, 35.3°, intensity 100
- d 2.340, 38.5°, intensity 18
- d 2.080, 43.5°, intensity 25
- d 2.030, 44.6°, intensity 26
- d 1.538, 60.2°, intensity 20
- d 1.497, 62.0°, intensity 16
- d 1.383, 67.7°, intensity 8
- d 1.323, 71.3°, intensity 16
- d 1.164, 82.9°, intensity 9

(9)
TeS3N2: simulated X-ray powder pattern (Cu Ka), based on a PBE-relaxed structure.
No peak broadening, texture or thermal motion is included.

Cell and atoms:
```
TeS3N2
1.0
7.769 0.000 0.000
0.000 8.879 0.000
0.000 0.000 8.977
Te S N
4 12 8
Direct
0.238 0.250 0.217
0.262 0.750 0.717
0.738 0.250 0.283
0.762 0.750 0.783
0.004 0.045 0.300
0.004 0.455 0.300
0.008 0.750 0.269
0.492 0.250 0.769
0.496 0.545 0.800
0.496 0.955 0.800
0.504 0.045 0.200
0.504 0.455 0.200
0.508 0.750 0.231
0.992 0.250 0.731
0.996 0.545 0.700
0.996 0.955 0.700
0.066 0.104 0.810
0.066 0.396 0.810
0.434 0.604 0.310
0.434 0.896 0.310
0.566 0.104 0.690
0.566 0.396 0.690
0.934 0.604 0.190
0.934 0.896 0.190
```

Largest 10 diffraction maxima, low angle first, 2θ = 15–90°:
- d 4.488, 19.8°, intensity 100
- d 4.440, 20.0°, intensity 15
- d 3.308, 27.0°, intensity 77
- d 2.924, 30.6°, intensity 36
- d 2.450, 36.7°, intensity 26
- d 2.290, 39.3°, intensity 19
- d 2.277, 39.6°, intensity 42
- d 1.941, 46.8°, intensity 16
- d 1.850, 49.2°, intensity 15
- d 1.781, 51.3°, intensity 16

(10)
CeSe2: simulated X-ray powder pattern (Cu Ka), based on a PBE-relaxed structure.
No peak broadening, texture or thermal motion is included.

Cell and atoms:
```
CeSe2
1.0
4.108 0.000 0.000
-2.054 3.557 0.000
0.000 0.000 26.608
Ce Se
4 8
Direct
0.333 0.667 0.000
0.333 0.667 0.257
0.667 0.333 0.500
0.667 0.333 0.757
0.000 0.000 0.194
0.000 0.000 0.321
0.000 0.000 0.694
0.000 0.000 0.821
0.333 0.667 0.436
0.333 0.667 0.563
0.667 0.333 0.063
0.667 0.333 0.936
```

Largest 10 diffraction maxima, low angle first, 2θ = 15–90°:
- d 3.526, 25.3°, intensity 34
- d 3.437, 25.9°, intensity 62
- d 3.302, 27.0°, intensity 43
- d 2.957, 30.2°, intensity 54
- d 2.775, 32.3°, intensity 38
- d 2.597, 34.5°, intensity 100
- d 2.430, 37.0°, intensity 41
- d 2.274, 39.6°, intensity 36
- d 2.054, 44.1°, intensity 93
- d 1.292, 73.2°, intensity 35